(1)
# KMo4O8
Simulated powder X-ray diffraction pattern, Cu Kα, 1.54184 Å. Input: a cell relaxed with GGA+U.
Peak positions follow from Bragg's law for the DFT cell and can differ from measured ones.

Top 10 peaks for 5 to 70 degrees two-theta, in order of rising 2θ:
Position (°2θ)	Rel. int.	hkl
11.7	74	1 0 0
12.0	77	1 0 -2
16.9	73	2 0 -2
26.2	96	1 0 2
27.1	100	3 0 -4
33.1	100	1 2 1
33.2	84	2 2 -1
33.4	80	1 2 -3
33.5	90	2 2 -3
44.9	87	4 2 -3

Structural model:
a = 10.4976 Å, b = 6.5422 Å, c = 14.7366 Å
α = 90.00°, β = 133.65°, γ = 90.00°
Space group P2/c (No. 13)
Asymmetric unit:
1 K 0.0000 0.1330 0.2500 (multiplicity 2)
2 K 0.0000 0.3646 0.7500 (multiplicity 2)
3 Mo 0.1811 0.1286 0.0972 (multiplicity 4)
4 Mo 0.1805 0.3714 0.5974 (multiplicity 4)
5 Mo 0.4884 0.1256 0.5886 (multiplicity 4)
6 Mo 0.4902 0.3728 0.0888 (multiplicity 4)
7 O 0.0407 0.3799 0.0936 (multiplicity 4)
8 O 0.0540 0.1300 0.6015 (multiplicity 4)
9 O 0.2965 0.3921 0.0880 (multiplicity 4)
10 O 0.3000 0.1234 0.5882 (multiplicity 4)
11 O 0.3624 0.1219 0.9565 (multiplicity 4)
12 O 0.3638 0.3776 0.4581 (multiplicity 4)
13 O 0.3728 0.3670 0.7885 (multiplicity 4)
14 O 0.3855 0.1356 0.2952 (multiplicity 4)



(2)
# KMoP2O7
Simulated powder X-ray diffraction pattern, Cu Kα, 1.54184 Å. Input: a cell relaxed with GGA+U.
Peak positions follow from Bragg's law for the DFT cell and can differ from measured ones.

Top 10 peaks for 5 to 70 degrees two-theta, in order of rising 2θ:
Position (°2θ)	Rel. int.	hkl
14.8	68	1 1 0
16.1	33	1 1 -1
21.8	57	0 0 2
28.0	48	1 3 0
29.3	100	2 2 -1
32.7	16	1 1 -3
33.7	15	0 4 0
36.6	15	3 1 -1
51.4	17	4 2 -1
56.6	18	3 5 -1

Structural model:
a = 7.5624 Å, b = 10.6291 Å, c = 8.5425 Å
α = 90.00°, β = 106.99°, γ = 90.00°
Space group P2_1/c (No. 14)
Asymmetric unit:
1 K 0.1793 0.1719 0.0608 (multiplicity 4)
2 Mo 0.2348 0.6010 0.2588 (multiplicity 4)
3 P 0.1281 0.6014 0.8243 (multiplicity 4)
4 P 0.4408 0.6375 0.6952 (multiplicity 4)
5 O 0.0039 0.5007 0.7173 (multiplicity 4)
6 O 0.0712 0.7318 0.7465 (multiplicity 4)
7 O 0.1318 0.5969 0.0012 (multiplicity 4)
8 O 0.3221 0.6059 0.5226 (multiplicity 4)
9 O 0.3360 0.5706 0.8162 (multiplicity 4)
10 O 0.3658 0.0799 0.7590 (multiplicity 4)
11 O 0.4584 0.7217 0.2395 (multiplicity 4)